Starting from the GGA-PBE geometry in Alexandria, the XRD peak list of PrDy6Tm3 was calculated for a wavelength of 1.5418 Å.
Peak positions follow from Bragg's law for the DFT cell and can differ from measured ones.

Atomic structure:
a = 6.8632 Å, b = 6.8632 Å, c = 6.8632 Å
α = 90.60°, β = 90.60°, γ = 90.60°
Fractional coordinates of all 10 atoms:
Pr1 0.0000 0.0000 0.0000
Dy1 0.0021 0.3357 0.6657
Dy2 0.1693 0.8325 0.5025
Dy3 0.3357 0.6657 0.0021
Dy4 0.5025 0.1693 0.8325
Dy5 0.6657 0.0021 0.3357
Dy6 0.8325 0.5025 0.1693
Tm1 0.2524 0.2524 0.2524
Tm2 0.4990 0.4990 0.4990
Tm3 0.7443 0.7443 0.7443

Most intense lines, 15 to 90 degrees two-theta, sorted by position:
d (Å)  I/Imax
3.056  67
2.816  100
2.777  15
2.414  11
2.163  15
2.071  22
1.669  23
1.626  20
1.609  13
1.408  12

Starting from the GGA-PBE geometry in Alexandria, the XRD peak list of Pr8Dy4Tm was calculated for a wavelength of 1.5418 Å.
Peak positions follow from Bragg's law for the DFT cell and can differ from measured ones.

Atomic structure:
a = 6.7925 Å, b = 6.9274 Å, c = 10.9353 Å
α = 87.16°, β = 89.73°, γ = 60.92°
Fractional coordinates of all 13 atoms:
Pr1 0.0000 0.0000 0.0000
Pr2 0.0267 0.6522 0.7689
Pr3 0.1319 0.2294 0.3577
Pr4 0.1760 0.7304 0.2622
Pr5 0.4770 0.0449 0.8301
Pr6 0.5384 0.5229 0.9162
Pr7 0.6416 0.2983 0.2621
Pr8 0.8459 0.8302 0.4759
Dy1 0.1374 0.3976 0.0572
Dy2 0.4152 0.7615 0.5698
Dy3 0.6135 0.8350 0.1606
Dy4 0.9199 0.2249 0.6701
Tm1 0.3910 0.3091 0.5656

Most intense lines, 15 to 90 degrees two-theta, sorted by position:
d (Å)  I/Imax
3.196  9
3.138  18
3.072  22
3.057  20
2.954  28
2.876  100
2.859  24
2.707  15
2.504  22
1.620  11

Repeat the second record exactly.
Starting from the GGA-PBE geometry in Alexandria, the XRD peak list of Pr8Dy4Tm was calculated for a wavelength of 1.5418 Å.
Peak positions follow from Bragg's law for the DFT cell and can differ from measured ones.

Atomic structure:
a = 6.7925 Å, b = 6.9274 Å, c = 10.9353 Å
α = 87.16°, β = 89.73°, γ = 60.92°
Fractional coordinates of all 13 atoms:
Pr1 0.0000 0.0000 0.0000
Pr2 0.0267 0.6522 0.7689
Pr3 0.1319 0.2294 0.3577
Pr4 0.1760 0.7304 0.2622
Pr5 0.4770 0.0449 0.8301
Pr6 0.5384 0.5229 0.9162
Pr7 0.6416 0.2983 0.2621
Pr8 0.8459 0.8302 0.4759
Dy1 0.1374 0.3976 0.0572
Dy2 0.4152 0.7615 0.5698
Dy3 0.6135 0.8350 0.1606
Dy4 0.9199 0.2249 0.6701
Tm1 0.3910 0.3091 0.5656

Most intense lines, 15 to 90 degrees two-theta, sorted by position:
d (Å)  I/Imax
3.196  9
3.138  18
3.072  22
3.057  20
2.954  28
2.876  100
2.859  24
2.707  15
2.504  22
1.620  11

Copy entry 2 word for word.
Starting from the GGA-PBE geometry in Alexandria, the XRD peak list of Pr8Dy4Tm was calculated for a wavelength of 1.5418 Å.
Peak positions follow from Bragg's law for the DFT cell and can differ from measured ones.

Atomic structure:
a = 6.7925 Å, b = 6.9274 Å, c = 10.9353 Å
α = 87.16°, β = 89.73°, γ = 60.92°
Fractional coordinates of all 13 atoms:
Pr1 0.0000 0.0000 0.0000
Pr2 0.0267 0.6522 0.7689
Pr3 0.1319 0.2294 0.3577
Pr4 0.1760 0.7304 0.2622
Pr5 0.4770 0.0449 0.8301
Pr6 0.5384 0.5229 0.9162
Pr7 0.6416 0.2983 0.2621
Pr8 0.8459 0.8302 0.4759
Dy1 0.1374 0.3976 0.0572
Dy2 0.4152 0.7615 0.5698
Dy3 0.6135 0.8350 0.1606
Dy4 0.9199 0.2249 0.6701
Tm1 0.3910 0.3091 0.5656

Most intense lines, 15 to 90 degrees two-theta, sorted by position:
d (Å)  I/Imax
3.196  9
3.138  18
3.072  22
3.057  20
2.954  28
2.876  100
2.859  24
2.707  15
2.504  22
1.620  11